Record 1
Diffraction record for Sr4Ta2O9. The powder XRD pattern is calculated, not measured: it uses a cell relaxed with GGA-PBE and Cu Kα (weighted mean of Kα1 and Kα2).

Peak list (8 most intense, 2θ from 10° to 90°, sorted by position)
| 2θ (°) | intensity |
| --- | --- |
| 17.12 | 42 |
| 20.71 | 20 |
| 29.01 | 88 |
| 29.88 | 100 |
| 42.13 | 33 |
| 46.81 | 31 |
| 52.51 | 36 |
| 53.04 | 30 |

Structural model:
```
Sr4Ta2O9
1.0
10.3581 0.0000 0.0000
0.0000 5.9806 0.0000
0.0000 0.0000 15.3060
Sr Ta O
16 8 36
Cartesian
1.7010 0.0883 0.2431
1.7010 5.8923 7.8961
1.7047 0.0405 4.4451
1.7047 5.9401 12.0981
3.4744 2.9498 12.0981
3.4744 3.0308 4.4451
3.4781 2.9020 7.8961
3.4781 3.0786 0.2431
6.8801 2.9020 15.0629
6.8801 3.0786 7.4099
6.8837 2.9498 10.8609
6.8837 3.0308 3.2079
8.6535 0.0405 3.2079
8.6535 5.9401 10.8609
8.6571 0.0883 7.4099
8.6571 5.8923 15.0629
0.0101 2.9639 9.9433
0.0101 3.0167 2.2903
5.1690 0.0264 2.2903
5.1690 5.9542 9.9433
5.1892 0.0264 5.3627
5.1892 5.9542 13.0157
10.3480 2.9639 13.0157
10.3480 3.0167 5.3627
0.0000 1.4925 11.4795
0.0000 4.4882 3.8265
0.1395 1.2539 6.1790
0.1395 4.7267 13.8320
1.2858 2.2872 3.7694
1.2858 3.6934 11.4224
1.4515 2.1124 9.0237
1.4515 3.8682 1.3707
1.5724 2.0433 13.7706
1.5724 3.9373 6.1176
3.6067 0.9470 6.1176
3.6067 5.0336 13.7706
3.7276 0.8779 1.3707
3.7276 5.1028 9.0237
3.8933 0.7031 11.4224
3.8933 5.2775 3.7694
5.0396 1.7364 13.8320
5.0396 4.2443 6.1790
5.1791 1.4979 3.8265
5.1791 4.4828 11.4795
5.3185 1.7364 9.1270
5.3185 4.2443 1.4740
6.4648 0.7031 11.5366
6.4648 5.2775 3.8836
6.6305 0.8779 6.2823
6.6305 5.1028 13.9353
6.7514 0.9470 1.5354
6.7514 5.0336 9.1884
8.7858 2.0433 9.1884
8.7858 3.9373 1.5354
8.9067 2.1124 13.9353
8.9067 3.8682 6.2823
9.0724 2.2872 3.8836
9.0724 3.6934 11.5366
10.2187 1.2539 1.4740
10.2187 4.7267 9.1270
```

***

Record 2
Diffraction record for Nb2V3Si3. The powder XRD pattern is calculated, not measured: it uses a cell relaxed with GGA-PBE and Cu Kα (weighted mean of Kα1 and Kα2).

Peak list (8 most intense, 2θ from 10° to 90°, sorted by position)
| 2θ (°) | intensity |
| --- | --- |
| 13.96 | 41 |
| 24.30 | 25 |
| 37.20 | 30 |
| 37.51 | 35 |
| 41.43 | 41 |
| 42.49 | 100 |
| 42.77 | 62 |
| 61.86 | 27 |

Structural model:
```
Nb2V3Si3
1.0
7.3244 0.0000 0.0000
-3.6622 6.3431 0.0000
0.0000 0.0000 5.2285
Nb V Si
4 6 6
Cartesian
0.0000 4.2288 0.0000
0.0000 4.2288 2.6142
3.6622 2.1144 0.0000
3.6622 2.1144 2.6142
-0.9439 1.6349 1.3071
-2.7183 4.7083 3.9214
1.8878 0.0000 1.3071
0.9439 1.6349 3.9214
5.4366 0.0000 3.9214
2.7183 4.7083 1.3071
-1.3913 2.4099 3.9214
-2.2709 3.9333 1.3071
2.7827 0.0000 3.9214
1.3913 2.4099 1.3071
4.5417 0.0000 1.3071
2.2709 3.9333 3.9214
```

***

Record 3
Diffraction record for K4Zr6FeBr18. The powder XRD pattern is calculated, not measured: it uses a cell relaxed with GGA-PBE and Cu Kα (weighted mean of Kα1 and Kα2).

Peak list (8 most intense, 2θ from 10° to 90°, sorted by position)
| 2θ (°) | intensity |
| --- | --- |
| 10.04 | 95 |
| 27.44 | 87 |
| 29.27 | 72 |
| 29.76 | 85 |
| 29.92 | 89 |
| 30.44 | 98 |
| 32.74 | 100 |
| 34.30 | 87 |

Structural model:
```
K4Zr6FeBr18
1.0
10.6622 0.0000 0.0000
-2.5673 10.4903 0.0000
-1.9004 -5.8283 9.0221
K Zr Fe Br
4 6 1 18
Cartesian
1.1055 -0.9227 2.0559
-0.9360 4.3108 5.0825
7.1304 0.3512 3.9395
5.0890 5.5847 6.9661
1.1142 0.1819 6.9074
1.2840 -2.8639 8.6071
1.9526 5.8054 1.2181
4.2418 -1.1434 7.8040
4.9104 7.5259 0.4149
5.0803 4.4801 2.1147
4.0474 5.2451 0.0000
-0.1343 1.0814 4.4789
0.0992 -2.2663 6.2198
-2.3178 4.9933 8.1163
-1.2552 0.8653 8.0311
0.8168 3.3464 0.8718
-0.3999 6.4596 2.6066
3.3008 -0.3522 5.3467
3.4942 -3.7219 7.2472
1.9790 2.7704 7.1389
4.2154 1.8916 1.8831
2.7002 8.3839 1.7748
2.8937 5.0142 3.6753
6.5943 -1.7976 6.4154
5.3777 1.3157 8.1502
7.4496 3.7967 0.9910
8.5122 -0.3313 0.9058
6.0953 6.9283 2.8023
6.3288 3.5806 4.5431
```

***

Record 4
Diffraction record for MnSe. The powder XRD pattern is calculated, not measured: it uses a cell relaxed with GGA-PBE and Cu Kα (weighted mean of Kα1 and Kα2).

Peak list (8 most intense, 2θ from 10° to 90°, sorted by position)
| 2θ (°) | intensity |
| --- | --- |
| 25.95 | 100 |
| 30.05 | 3 |
| 43.02 | 72 |
| 50.93 | 44 |
| 62.47 | 11 |
| 68.81 | 17 |
| 78.85 | 22 |
| 84.69 | 13 |

Structural model:
```
MnSe
1.0
0.0000 2.9734 2.9734
2.9734 0.0000 2.9734
2.9734 2.9734 0.0000
Mn Se
1 1
Cartesian
0.0000 0.0000 0.0000
4.4601 4.4601 4.4601
```

***

Record 5
Diffraction record for Zr4CoNi. The powder XRD pattern is calculated, not measured: it uses a cell relaxed with GGA-PBE and Cu Kα (weighted mean of Kα1 and Kα2).

Peak list (8 most intense, 2θ from 10° to 90°, sorted by position)
| 2θ (°) | intensity |
| --- | --- |
| 33.30 | 11 |
| 35.24 | 100 |
| 38.84 | 24 |
| 43.78 | 33 |
| 44.31 | 33 |
| 60.77 | 24 |
| 61.61 | 18 |
| 71.11 | 19 |

Structural model:
```
Zr4CoNi
1.0
-3.2323 3.2323 2.6904
3.2323 -3.2323 2.6904
3.2323 3.2323 -2.6904
Zr Co Ni
4 1 1
Cartesian
2.1593 -1.0730 1.3452
4.3052 1.0730 1.3452
1.0730 2.1593 1.3452
-1.0730 4.3052 1.3452
0.0000 0.0000 2.6904
0.0000 0.0000 0.0000
```

***

Record 6
Diffraction record for BaBi4O8. The powder XRD pattern is calculated, not measured: it uses a cell relaxed with GGA-PBE and Cu Kα (weighted mean of Kα1 and Kα2).

Peak list (8 most intense, 2θ from 10° to 90°, sorted by position)
| 2θ (°) | intensity |
| --- | --- |
| 15.71 | 36 |
| 23.18 | 31 |
| 27.38 | 100 |
| 28.13 | 55 |
| 36.18 | 38 |
| 39.66 | 23 |
| 48.40 | 28 |
| 48.86 | 26 |

Structural model:
```
BaBi4O8
1.0
6.5147 0.0000 0.0000
-3.2573 5.6419 0.0000
0.0000 0.0000 7.6729
Ba Bi O
1 4 8
Cartesian
0.0000 0.0000 0.0000
0.0000 3.7612 2.0759
0.0000 3.7612 5.5970
3.2573 1.8806 2.0759
3.2573 1.8806 5.5970
-1.0701 1.8535 2.0154
-2.1872 3.7884 5.6575
2.1402 0.0000 2.0154
1.0701 1.8535 5.6575
0.0000 3.7612 0.0000
3.2573 1.8806 0.0000
4.3745 0.0000 5.6575
2.1872 3.7884 2.0154
```

***

Record 7
Diffraction record for TbHf. The powder XRD pattern is calculated, not measured: it uses a cell relaxed with GGA-PBE and Cu Kα (weighted mean of Kα1 and Kα2).

Peak list (8 most intense, 2θ from 10° to 90°, sorted by position)
| 2θ (°) | intensity |
| --- | --- |
| 30.56 | 24 |
| 33.28 | 25 |
| 34.90 | 100 |
| 45.81 | 16 |
| 54.31 | 19 |
| 60.52 | 21 |
| 65.21 | 22 |
| 66.21 | 16 |

Structural model:
```
TbHf
1.0
3.3781 0.0000 0.0000
-1.6890 2.9255 0.0000
0.0000 0.0000 5.3839
Tb Hf
1 1
Cartesian
0.0000 0.0000 0.0000
0.0000 1.9503 2.6920
```